Theoretical XRD peak list of Tb10Sb3Pb3 for Cu Ka, from a structure optimized by DFT (PBE).
Kinematic intensities with the Lorentz-polarization factor, no thermal factor.

a b c (Å): 9.072 9.072 6.486
angles (deg): 90.00 90.00 120.00
Element x y z (fractional)
Tb  0.000  0.242  0.000
Tb  0.000  0.759  0.500
Tb  0.241  0.241  0.500
Tb  0.242  0.000  0.000
Tb  0.333  0.667  0.247
Tb  0.333  0.667  0.753
Tb  0.667  0.333  0.247
Tb  0.667  0.333  0.753
Tb  0.758  0.758  0.000
Tb  0.759  0.000  0.500
Sb  0.000  0.610  0.000
Sb  0.390  0.390  0.000
Sb  0.610  0.000  0.000
Pb  0.000  0.393  0.500
Pb  0.393  0.000  0.500
Pb  0.607  0.607  0.500

Principal peaks in the range 2θ = 10–90°, sorted by position:
d/Å	2theta	Rel. int.	(hkl)
3.243	27.50	200	0 0 2
2.969	30.09	286	2 1 0
2.700	33.18	1000	2 1 1
2.638	33.98	768	1 1 2
2.619	34.24	438	3 0 0
1.748	52.34	278	2 1 3